(1)
MgZrSi2O7: theoretical powder X-ray diffraction pattern (CuKα), based on a DFT-relaxed cell (GGA-PBE, the Materials Project).
Kinematic intensities with the Lorentz-polarization factor, no thermal factor.

Structural model:
abc: 6.5450 6.7492 9.3424
angles: 90.00 90.00 90.00
Space group Imma (No. 74)
Unique sites:
Mg1 0.2500 0.2500 0.2500 (multiplicity 4)
Zr1 0.0000 0.0000 0.0000 (multiplicity 4)
Si1 0.0000 0.0000 0.5000 (multiplicity 4)
Si2 0.2500 0.2500 0.7500 (multiplicity 4)
O1 0.0000 0.2500 0.1269 (multiplicity 4)
O2 0.0000 0.2500 0.4252 (multiplicity 4)
O3 0.0000 0.2500 0.8242 (multiplicity 4)
O4 0.2037 0.0571 0.6223 (multiplicity 16)

Principal peaks in the range 2θ = 10–90°, by angle:
h k l  2θ (°)  intensity
1 0 1  16.54  47
0 0 2  19.00  30
0 2 2  32.74  100
2 0 2  33.43  89
1 2 3  41.81  34
0 4 0  54.37  18
2 2 4  55.48  72
4 0 0  56.22  18
2 4 2  65.35  24
2 0 6  66.56  36



(2)
Nb3Ge: theoretical powder X-ray diffraction pattern (CuKα), based on a DFT-relaxed cell (GGA-PBE, the Materials Project).
Kinematic intensities with the Lorentz-polarization factor, no thermal factor.

Structural model:
abc: 5.4021 13.3586 7.9649
angles: 90.00 90.00 90.00
Space group Amm2 (No. 38)
Unique sites:
Nb1 0.0000 0.0000 0.0000 (multiplicity 2)
Nb2 0.0000 0.1219 0.3755 (multiplicity 4)
Nb3 0.0000 0.1954 0.0568 (multiplicity 4)
Nb4 0.2543 0.1625 0.7492 (multiplicity 8)
Nb5 0.5000 0.0000 0.5032 (multiplicity 2)
Nb6 0.5000 0.1215 0.1371 (multiplicity 4)
Ge1 0.0000 0.0000 0.6398 (multiplicity 2)
Ge2 0.5000 0.0000 0.8685 (multiplicity 2)
Ge3 0.5000 0.2017 0.4518 (multiplicity 4)

Principal peaks in the range 2θ = 10–90°, by angle:
h k l  2θ (°)  intensity
2 0 0  33.17  35
0 4 2  35.07  31
2 1 1  35.74  25
1 1 3  38.37  69
1 4 2  38.94  64
1 5 1  39.28  70
0 3 3  39.52  68
2 0 2  40.35  54
0 6 0  40.52  27
2 3 1  40.68  100



(3)
Ni4Se3N2: theoretical powder X-ray diffraction pattern (CuKα), based on a DFT-relaxed cell (GGA-PBE, the Materials Project).
Kinematic intensities with the Lorentz-polarization factor, no thermal factor.

Structural model:
abc: 6.0137 10.1165 8.3661
angles: 90.00 90.00 90.00
Space group Pnma (No. 62)
Unique sites:
Ni1 0.0426 0.2500 0.1672 (multiplicity 4)
Ni2 0.2053 0.5421 0.0682 (multiplicity 8)
Ni3 0.2221 0.2500 0.9078 (multiplicity 4)
Se1 0.0622 0.0563 0.3255 (multiplicity 8)
Se2 0.1198 0.2500 0.6451 (multiplicity 4)
N1 0.0618 0.1199 0.0076 (multiplicity 8)

Principal peaks in the range 2θ = 10–90°, by angle:
h k l  2θ (°)  intensity
0 3 1  28.54  34
2 1 0  31.03  48
1 3 1  32.26  49
2 1 1  32.87  46
0 4 0  35.49  77
2 2 1  36.38  47
2 0 2  36.81  32
1 3 2  37.38  100
1 2 4  49.54  50
3 2 2  53.83  85



- Number 1 is which compound?
  MgZrSi2O7